# Nd6Tm3Sc
Simulated X-ray powder pattern, Cu Kα (weighted mean of Kα1 and Kα2). Input: a crystal structure in Alexandria, relaxed with PBE.
No peak broadening, texture or thermal motion is included.

Structural model:
```
data_Nd6Tm3Sc
_cell_length_a 11.050
_cell_length_b 19.192
_cell_length_c 6.229
_cell_angle_alpha 90.00
_cell_angle_beta 90.00
_cell_angle_gamma 90.00
_symmetry_space_group_name_H-M 'C m c 21'
_symmetry_Int_Tables_number 36
loop_
_symmetry_equiv_pos_as_xyz
'x,y,z'
'-x,-y,z+1/2'
'-x,y,z'
'x,-y,z+1/2'
'x+1/2,y+1/2,z'
'-x+1/2,-y+1/2,z+1/2'
'-x+1/2,y+1/2,z'
'x+1/2,-y+1/2,z+1/2'
loop_
_atom_site_label
_atom_site_fract_x
_atom_site_fract_y
_atom_site_fract_z
Nd1 0.000 0.044 0.000
Nd2 0.000 0.276 0.271
Nd3 0.167 0.456 0.387
Nd4 0.230 0.288 0.581
Tm1 0.000 0.386 0.856
Tm2 0.162 0.111 0.463
Sc1 0.000 0.200 0.806
```

The 10 most intense peaks (2θ = 10–90°), most intense first:
- 2θ 31.5, d 2.843, rel. 1000, hkl 0 6 1
- 2θ 28.5, d 3.130, rel. 500, hkl 3 1 1
- 2θ 30.2, d 2.962, rel. 237, hkl 0 2 2
- 2θ 34.3, d 2.611, rel. 234, hkl 2 2 2
- 2θ 27.9, d 3.194, rel. 201, hkl 3 3 0
- 2θ 33.7, d 2.657, rel. 191, hkl 3 5 0
- 2θ 58.1, d 1.587, rel. 129, hkl 6 0 2
- 2θ 59.8, d 1.546, rel. 104, hkl 6 6 1
- 2θ 28.7, d 3.114, rel. 100, hkl 0 0 2
- 2θ 49.4, d 1.845, rel. 99, hkl 3 9 0

***

# NdTm12Sc6
Simulated X-ray powder pattern, Cu Kα (weighted mean of Kα1 and Kα2). Input: a crystal structure in Alexandria, relaxed with PBE.
No peak broadening, texture or thermal motion is included.

Structural model:
```
data_NdTm12Sc6
_cell_length_a 12.6991
_cell_length_b 12.6991
_cell_length_c 12.6652
_cell_angle_alpha 90.00
_cell_angle_beta 90.00
_cell_angle_gamma 120.00
_symmetry_space_group_name_H-M 'R -3 m'
_symmetry_Int_Tables_number 166
_symmetry_space_group_name_Hall '-R 3 2"'
loop_
_atom_site_label
_atom_site_fract_x
_atom_site_fract_y
_atom_site_fract_z
Nd1 0.0000 0.0000 0.0000
Tm1 0.0000 0.3751 0.5000
Tm2 0.0936 0.1871 0.3787
Sc1 0.0284 0.5142 0.7043
```

The 10 most intense peaks (2θ = 10–90°), most intense first:
- 2θ 30.1, d 2.965, rel. 1000, hkl 1 3 1
- 2θ 32.3, d 2.768, rel. 775, hkl 3 0 3
- 2θ 25.3, d 3.516, rel. 464, hkl 1 1 3
- 2θ 35.6, d 2.521, rel. 359, hkl 0 4 2
- 2θ 21.4, d 4.152, rel. 295, hkl 2 0 2
- 2θ 49.9, d 1.829, rel. 275, hkl 0 3 6
- 2θ 36.4, d 2.470, rel. 213, hkl 0 1 5
- 2θ 32.6, d 2.747, rel. 209, hkl 0 2 4
- 2θ 42.7, d 2.117, rel. 202, hkl 3 3 0
- 2θ 43.6, d 2.078, rel. 194, hkl 5 0 2

***

# Nd6Tm5Sc2
Simulated X-ray powder pattern, Cu Kα (weighted mean of Kα1 and Kα2). Input: a crystal structure in Alexandria, relaxed with PBE.
No peak broadening, texture or thermal motion is included.

Structural model:
```
data_Nd6Tm5Sc2
_cell_length_a 11.445
_cell_length_b 20.271
_cell_length_c 3.571
_cell_angle_alpha 90.00
_cell_angle_beta 90.00
_cell_angle_gamma 90.00
_symmetry_space_group_name_H-M 'P b a m'
_symmetry_Int_Tables_number 55
loop_
_symmetry_equiv_pos_as_xyz
'x,y,z'
'-x,-y,-z'
'-x,-y,z'
'x,y,-z'
'x+1/2,-y+1/2,-z'
'-x+1/2,y+1/2,z'
'-x+1/2,y+1/2,-z'
'x+1/2,-y+1/2,z'
loop_
_atom_site_label
_atom_site_fract_x
_atom_site_fract_y
_atom_site_fract_z
Nd1 0.082 0.156 0.000
Nd2 0.168 0.882 0.500
Nd3 0.214 0.554 0.500
Tm1 0.000 0.000 0.000
Tm2 0.057 0.421 0.000
Tm3 0.144 0.720 0.000
Sc1 0.114 0.288 0.500
```

The 10 most intense peaks (2θ = 10–90°), most intense first:
- 2θ 32.4, d 2.764, rel. 1000, hkl 2 3 1
- 2θ 31.6, d 2.830, rel. 959, hkl 4 1 0
- 2θ 31.9, d 2.807, rel. 696, hkl 1 7 0
- 2θ 29.5, d 3.030, rel. 597, hkl 2 0 1
- 2θ 30.8, d 2.903, rel. 448, hkl 2 2 1
- 2θ 27.5, d 3.238, rel. 420, hkl 1 6 0
- 2θ 29.3, d 3.048, rel. 412, hkl 3 4 0
- 2θ 32.2, d 2.778, rel. 393, hkl 3 5 0
- 2θ 32.5, d 2.754, rel. 312, hkl 4 2 0
- 2θ 40.9, d 2.207, rel. 308, hkl 1 7 1